Starting from the GGA-PBE geometry in Alexandria, the powder diffractogram of Ba7NaSr3 was simulated for a wavelength of 1.5418 Å.
Lines closer than 0.1° are merged.

a = 8.701 Å, b = 8.701 Å, c = 10.605 Å
α = 90.00°, β = 90.00°, γ = 120.00°
Element x y z (fractional)
Ba: 0.000 0.000 0.000
Ba: 0.167 0.334 0.341
Ba: 0.167 0.833 0.341
Ba: 0.501 0.001 0.996
Ba: 0.501 0.499 0.996
Ba: 0.666 0.833 0.341
Ba: 0.999 0.499 0.996
Na: 0.667 0.333 0.334
Sr: 0.334 0.167 0.666
Sr: 0.833 0.167 0.666
Sr: 0.833 0.666 0.666

Peak list (12 most intense, 2θ from 10° to 80°, in order of falling intensity)
| 2θ/deg | Rel. int. |
| --- | --- |
| 25.08 | 100 |
| 29.07 | 67 |
| 49.16 | 46 |
| 25.19 | 31 |
| 41.66 | 26 |
| 41.51 | 25 |
| 49.31 | 15 |
| 51.48 | 13 |
| 75.80 | 13 |
| 66.22 | 13 |
| 68.19 | 12 |
| 14.42 | 11 |

Starting from the GGA-PBE geometry in Alexandria, the powder diffractogram of Ba3Na5Sr was simulated for a wavelength of 1.5418 Å.
Lines closer than 0.1° are merged.

a = 11.391 Å, b = 11.391 Å, c = 7.934 Å
α = 90.00°, β = 90.00°, γ = 120.00°
Element x y z (fractional)
Ba: 0.000 0.355 0.250
Ba: 0.000 0.645 0.750
Ba: 0.355 0.000 0.250
Ba: 0.355 0.355 0.750
Ba: 0.645 0.000 0.750
Ba: 0.645 0.645 0.250
Na: 0.000 0.310 0.750
Na: 0.000 0.690 0.250
Na: 0.310 0.000 0.750
Na: 0.310 0.310 0.250
Na: 0.333 0.667 0.000
Na: 0.333 0.667 0.500
Na: 0.667 0.333 0.000
Na: 0.667 0.333 0.500
Na: 0.690 0.000 0.250
Na: 0.690 0.690 0.750
Sr: 0.000 0.000 0.000
Sr: 0.000 0.000 0.500

Peak list (12 most intense, 2θ from 10° to 80°, in order of falling intensity)
| 2θ/deg | Rel. int. |
| --- | --- |
| 19.18 | 100 |
| 27.12 | 99 |
| 27.40 | 78 |
| 53.99 | 28 |
| 48.09 | 28 |
| 38.93 | 27 |
| 35.46 | 27 |
| 33.43 | 23 |
| 47.91 | 19 |
| 43.56 | 19 |
| 37.50 | 18 |
| 22.41 | 17 |

Starting from the GGA-PBE geometry in Alexandria, the powder diffractogram of Ba4Na2Sr5 was simulated for a wavelength of 1.5418 Å.
Lines closer than 0.1° are merged.

a = 10.906 Å, b = 24.568 Å, c = 4.549 Å
α = 90.00°, β = 90.00°, γ = 90.00°
Element x y z (fractional)
Ba: 0.075 0.148 0.000
Ba: 0.206 0.433 0.000
Ba: 0.294 0.933 0.000
Ba: 0.425 0.648 0.000
Ba: 0.575 0.352 0.000
Ba: 0.706 0.067 0.000
Ba: 0.794 0.567 0.000
Ba: 0.925 0.852 0.000
Na: 0.038 0.695 0.000
Na: 0.462 0.195 0.000
Na: 0.538 0.805 0.000
Na: 0.962 0.305 0.000
Sr: 0.000 0.000 0.500
Sr: 0.126 0.575 0.500
Sr: 0.246 0.783 0.500
Sr: 0.254 0.283 0.500
Sr: 0.374 0.075 0.500
Sr: 0.500 0.500 0.500
Sr: 0.626 0.925 0.500
Sr: 0.746 0.717 0.500
Sr: 0.754 0.217 0.500
Sr: 0.874 0.425 0.500

Peak list (12 most intense, 2θ from 10° to 80°, in order of falling intensity)
| 2θ/deg | Rel. int. |
| --- | --- |
| 25.71 | 100 |
| 26.53 | 50 |
| 25.55 | 40 |
| 26.68 | 31 |
| 27.76 | 29 |
| 24.36 | 28 |
| 27.24 | 23 |
| 48.39 | 21 |
| 23.82 | 20 |
| 39.62 | 19 |
| 24.76 | 19 |
| 23.20 | 18 |

Starting from the GGA-PBE geometry in Alexandria, the powder diffractogram of Ba4NaSr2 was simulated for a wavelength of 1.5418 Å.
Lines closer than 0.1° are merged.

a = 7.028 Å, b = 4.159 Å, c = 14.597 Å
α = 90.00°, β = 103.85°, γ = 90.00°
Element x y z (fractional)
Ba: 0.000 0.000 0.000
Ba: 0.138 0.500 0.279
Ba: 0.718 0.500 0.441
Ba: 0.857 0.000 0.719
Na: 0.431 0.500 0.860
Sr: 0.277 0.000 0.559
Sr: 0.579 0.000 0.160

Peak list (12 most intense, 2θ from 10° to 80°, in order of falling intensity)
| 2θ/deg | Rel. int. |
| --- | --- |
| 25.37 | 100 |
| 26.63 | 44 |
| 51.05 | 29 |
| 29.52 | 26 |
| 44.71 | 20 |
| 12.98 | 19 |
| 22.28 | 18 |
| 24.82 | 17 |
| 64.17 | 14 |
| 35.77 | 13 |
| 46.60 | 12 |
| 33.99 | 12 |

Starting from the GGA-PBE geometry in Alexandria, the powder diffractogram of Ba16Na6Sr7 was simulated for a wavelength of 1.5418 Å.
Lines closer than 0.1° are merged.

a = 14.087 Å, b = 14.087 Å, c = 14.087 Å
α = 60.00°, β = 60.00°, γ = 60.00°
Element x y z (fractional)
Ba: 0.008 0.331 0.331
Ba: 0.119 0.119 0.119
Ba: 0.119 0.119 0.643
Ba: 0.119 0.643 0.119
Ba: 0.331 0.008 0.331
Ba: 0.331 0.331 0.008
Ba: 0.331 0.331 0.331
Ba: 0.357 0.881 0.881
Ba: 0.643 0.119 0.119
Ba: 0.669 0.669 0.669
Ba: 0.669 0.669 0.992
Ba: 0.669 0.992 0.669
Ba: 0.881 0.357 0.881
Ba: 0.881 0.881 0.357
Ba: 0.881 0.881 0.881
Ba: 0.992 0.669 0.669
Na: 0.249 0.249 0.751
Na: 0.249 0.751 0.249
Na: 0.249 0.751 0.751
Na: 0.751 0.249 0.249
Na: 0.751 0.249 0.751
Na: 0.751 0.751 0.249
Sr: 0.000 0.000 0.000
Sr: 0.000 0.000 0.500
Sr: 0.000 0.500 0.000
Sr: 0.000 0.500 0.500
Sr: 0.500 0.000 0.000
Sr: 0.500 0.000 0.500
Sr: 0.500 0.500 0.000

Peak list (12 most intense, 2θ from 10° to 80°, in order of falling intensity)
| 2θ/deg | Rel. int. |
| --- | --- |
| 25.29 | 100 |
| 26.47 | 54 |
| 23.20 | 32 |
| 44.56 | 28 |
| 29.40 | 25 |
| 45.29 | 24 |
| 70.78 | 20 |
| 29.75 | 19 |
| 41.29 | 19 |
| 28.33 | 19 |
| 52.58 | 18 |
| 43.33 | 17 |

Starting from the GGA-PBE geometry in Alexandria, the powder diffractogram of Ba2Na6Sr3 was simulated for a wavelength of 1.5418 Å.
Lines closer than 0.1° are merged.

a = 9.977 Å, b = 9.977 Å, c = 6.263 Å
α = 90.00°, β = 90.00°, γ = 120.00°
Element x y z (fractional)
Ba: 0.333 0.667 0.000
Ba: 0.667 0.333 0.000
Na: 0.000 0.207 0.000
Na: 0.000 0.803 0.500
Na: 0.197 0.197 0.500
Na: 0.207 0.000 0.000
Na: 0.793 0.793 0.000
Na: 0.803 0.000 0.500
Sr: 0.000 0.446 0.500
Sr: 0.446 0.000 0.500
Sr: 0.554 0.554 0.500

Peak list (12 most intense, 2θ from 10° to 80°, in order of falling intensity)
| 2θ/deg | Rel. int. |
| --- | --- |
| 22.79 | 100 |
| 25.04 | 81 |
| 10.24 | 40 |
| 27.31 | 38 |
| 30.88 | 34 |
| 28.51 | 34 |
| 39.89 | 27 |
| 17.78 | 26 |
| 50.55 | 22 |
| 34.27 | 20 |
| 37.53 | 20 |
| 47.79 | 20 |

Starting from the GGA-PBE geometry in Alexandria, the powder diffractogram of BaNa9Sr2 was simulated for a wavelength of 1.5418 Å.
Lines closer than 0.1° are merged.

a = 11.937 Å, b = 11.937 Å, c = 11.937 Å
α = 35.31°, β = 35.31°, γ = 35.31°
Element x y z (fractional)
Ba: 0.000 0.000 0.000
Na: 0.078 0.588 0.588
Na: 0.334 0.334 0.334
Na: 0.412 0.412 0.922
Na: 0.412 0.922 0.412
Na: 0.500 0.500 0.500
Na: 0.588 0.078 0.588
Na: 0.588 0.588 0.078
Na: 0.666 0.666 0.666
Na: 0.922 0.412 0.412
Sr: 0.142 0.142 0.142
Sr: 0.858 0.858 0.858

Peak list (12 most intense, 2θ from 10° to 80°, in order of falling intensity)
| 2θ/deg | Rel. int. |
| --- | --- |
| 29.39 | 100 |
| 24.59 | 66 |
| 23.36 | 59 |
| 14.37 | 47 |
| 28.60 | 42 |
| 25.56 | 41 |
| 47.79 | 28 |
| 46.38 | 28 |
| 42.56 | 25 |
| 50.41 | 23 |
| 40.31 | 19 |
| 43.88 | 17 |

Starting from the GGA-PBE geometry in Alexandria, the powder diffractogram of BaNa2Sr3 was simulated for a wavelength of 1.5418 Å.
Lines closer than 0.1° are merged.

a = 4.442 Å, b = 4.442 Å, c = 15.477 Å
α = 90.00°, β = 90.00°, γ = 90.00°
Element x y z (fractional)
Ba: 0.000 0.000 0.000
Na: 0.000 0.000 0.350
Na: 0.000 0.000 0.650
Sr: 0.500 0.500 0.201
Sr: 0.500 0.500 0.500
Sr: 0.500 0.500 0.799

Peak list (12 most intense, 2θ from 10° to 80°, in order of falling intensity)
| 2θ/deg | Rel. int. |
| --- | --- |
| 26.48 | 100 |
| 28.42 | 50 |
| 49.15 | 36 |
| 23.09 | 25 |
| 20.80 | 20 |
| 40.62 | 19 |
| 47.21 | 14 |
| 36.86 | 14 |
| 45.84 | 14 |
| 45.50 | 13 |
| 22.98 | 12 |
| 62.89 | 11 |

Question: Number 1 is which compound?
Answer: Ba7NaSr3